No. 1
The following is a theoretical powder diffractogram of Mg2B2O5. It was derived from a DFT-relaxed cell (PBE, Alexandria), using Cu Kα.
Lines closer than 0.1° are merged.

Most intense lines, 10 to 90 degrees two-theta, by angle:
- 2θ 19.7, intensity 32.3
- 2θ 31.3, intensity 39.8
- 2θ 34.4, intensity 100.0
- 2θ 35.0, intensity 44.8
- 2θ 44.6, intensity 43.7
- 2θ 46.2, intensity 27.1
- 2θ 47.7, intensity 23.4
- 2θ 58.5, intensity 30.0

Unit cell a=3.159 b=6.216 c=9.312 alpha=104.58 beta=90.58 gamma=91.89
Positions (direct):
1 Mg 0.233 0.210 0.356
2 Mg 0.266 0.628 0.897
3 Mg 0.734 0.372 0.103
4 Mg 0.767 0.790 0.644
5 B 0.163 0.120 0.831
6 B 0.200 0.681 0.356
7 B 0.800 0.319 0.644
8 B 0.837 0.880 0.169
9 O 0.066 0.861 0.299
10 O 0.235 0.304 0.947
11 O 0.241 0.477 0.258
12 O 0.268 0.725 0.504
13 O 0.274 0.907 0.819
14 O 0.726 0.093 0.181
15 O 0.732 0.275 0.496
16 O 0.759 0.523 0.742
17 O 0.765 0.696 0.053
18 O 0.934 0.139 0.701



No. 2
The following is a theoretical powder diffractogram of PmTc3. It was derived from a DFT-relaxed cell (PBE, Alexandria), using Cu Kα.
Lines closer than 0.1° are merged.

Most intense lines, 10 to 90 degrees two-theta, by angle:
- 2θ 20.4, intensity 33.6
- 2θ 21.7, intensity 48.9
- 2θ 28.7, intensity 91.1
- 2θ 33.4, intensity 100.0
- 2θ 40.8, intensity 52.3
- 2θ 43.0, intensity 89.7
- 2θ 43.2, intensity 29.9
- 2θ 44.5, intensity 44.8

Unit cell a=9.776 b=9.039 c=5.031 alpha=82.78 beta=66.52 gamma=30.70
Positions (direct):
1 Pm 0.103 0.103 0.897
2 Pm 0.897 0.897 0.103
3 Tc 0.000 0.000 0.500
4 Tc 0.250 0.250 0.250
5 Tc 0.284 0.284 0.716
6 Tc 0.500 0.500 0.000
7 Tc 0.716 0.716 0.284
8 Tc 0.750 0.750 0.750



No. 3
The following is a theoretical powder diffractogram of Sm3TlSb2. It was derived from a DFT-relaxed cell (PBE, Alexandria), using Cu Kα.
Lines closer than 0.1° are merged.

Most intense lines, 10 to 90 degrees two-theta, by angle:
- 2θ 28.1, intensity 100.0
- 2θ 28.3, intensity 50.0
- 2θ 39.4, intensity 19.7
- 2θ 40.3, intensity 76.4
- 2θ 41.1, intensity 18.4
- 2θ 49.2, intensity 21.3
- 2θ 50.6, intensity 20.1
- 2θ 66.1, intensity 17.7

Unit cell a=7.871 b=7.871 c=8.791 alpha=106.20 beta=106.20 gamma=47.27
Positions (direct):
1 Sm 0.001 0.999 0.750
2 Sm 0.323 0.323 0.412
3 Sm 0.323 0.323 0.912
4 Sm 0.677 0.677 0.088
5 Sm 0.677 0.677 0.588
6 Sm 0.999 0.001 0.250
7 Tl 0.499 0.501 0.250
8 Tl 0.501 0.499 0.750
9 Sb 0.164 0.164 0.082
10 Sb 0.164 0.164 0.582
11 Sb 0.836 0.836 0.418
12 Sb 0.836 0.836 0.918



No. 4
The following is a theoretical powder diffractogram of Rb2NdPuO6. It was derived from a DFT-relaxed cell (PBE, Alexandria), using Cu Kα.
Lines closer than 0.1° are merged.

Most intense lines, 10 to 90 degrees two-theta, by angle:
- 2θ 20.1, intensity 25.0
- 2θ 28.6, intensity 100.0
- 2θ 40.9, intensity 29.4
- 2θ 46.0, intensity 11.5
- 2θ 50.7, intensity 41.7
- 2θ 59.3, intensity 18.8
- 2θ 67.1, intensity 19.0
- 2θ 81.7, intensity 22.3

Unit cell a=6.236 b=6.236 c=6.236 alpha=60.00 beta=60.00 gamma=60.00
Positions (direct):
1 Rb 0.250 0.250 0.250
2 Rb 0.750 0.750 0.750
3 Nd 0.000 0.000 0.000
4 Pu 0.500 0.500 0.500
5 O 0.270 0.270 0.730
6 O 0.270 0.730 0.270
7 O 0.270 0.730 0.730
8 O 0.730 0.270 0.270
9 O 0.730 0.270 0.730
10 O 0.730 0.730 0.270



No. 5
The following is a theoretical powder diffractogram of Sr2CaRuN4. It was derived from a DFT-relaxed cell (PBE, Alexandria), using Cu Kα.
Lines closer than 0.1° are merged.

Most intense lines, 10 to 90 degrees two-theta, by angle:
- 2θ 25.4, intensity 25.9
- 2θ 26.2, intensity 48.1
- 2θ 30.3, intensity 52.3
- 2θ 31.0, intensity 100.0
- 2θ 32.9, intensity 46.4
- 2θ 42.5, intensity 21.0
- 2θ 45.2, intensity 35.8
- 2θ 57.0, intensity 39.2

Unit cell a=7.773 b=7.021 c=5.450 alpha=90.00 beta=90.00 gamma=90.00
Positions (direct):
1 Sr 0.242 0.173 0.000
2 Sr 0.258 0.827 0.500
3 Sr 0.742 0.827 0.500
4 Sr 0.758 0.173 0.000
5 Ca 0.000 0.366 0.505
6 Ca 0.500 0.634 0.005
7 Ru 0.000 0.671 0.045
8 Ru 0.500 0.329 0.545
9 N 0.000 0.411 0.967
10 N 0.000 0.670 0.390
11 N 0.210 0.800 0.979
12 N 0.290 0.200 0.479
13 N 0.500 0.330 0.890
14 N 0.500 0.589 0.467
15 N 0.710 0.200 0.479
16 N 0.790 0.800 0.979



No. 6
The following is a theoretical powder diffractogram of Ac5Tb2Sn4. It was derived from a DFT-relaxed cell (PBE, Alexandria), using Cu Kα.
Lines closer than 0.1° are merged.

Most intense lines, 10 to 90 degrees two-theta, by angle:
- 2θ 23.6, intensity 40.3
- 2θ 27.7, intensity 100.0
- 2θ 28.2, intensity 78.3
- 2θ 29.0, intensity 71.5
- 2θ 30.9, intensity 35.3
- 2θ 32.9, intensity 51.1
- 2θ 34.8, intensity 48.9
- 2θ 48.2, intensity 43.1

Unit cell a=14.182 b=14.182 c=7.921 alpha=91.97 beta=91.97 gamma=15.30
Positions (direct):
1 Ac 0.000 0.000 0.000
2 Ac 0.266 0.266 0.762
3 Ac 0.364 0.364 0.159
4 Ac 0.636 0.636 0.841
5 Ac 0.734 0.734 0.238
6 Tb 0.413 0.413 0.680
7 Tb 0.587 0.587 0.320
8 Sn 0.166 0.166 0.500
9 Sn 0.472 0.472 0.346
10 Sn 0.528 0.528 0.654
11 Sn 0.834 0.834 0.500



No. 7
The following is a theoretical powder diffractogram of LiAgH. It was derived from a DFT-relaxed cell (PBE, Alexandria), using Cu Kα.
Lines closer than 0.1° are merged.

Most intense lines, 10 to 90 degrees two-theta, by angle:
- 2θ 18.3, intensity 100.0
- 2θ 26.3, intensity 40.0
- 2θ 30.1, intensity 49.8
- 2θ 35.6, intensity 23.4
- 2θ 38.1, intensity 33.5
- 2θ 38.6, intensity 51.7
- 2θ 40.5, intensity 78.4
- 2θ 42.5, intensity 23.1

Unit cell a=5.370 b=11.442 c=4.729 alpha=90.00 beta=90.00 gamma=90.00
Positions (direct):
1 Li 0.103 0.185 0.000
2 Li 0.122 0.937 0.018
3 Li 0.378 0.437 0.518
4 Li 0.397 0.685 0.500
5 Li 0.603 0.315 0.000
6 Li 0.622 0.563 0.018
7 Li 0.878 0.063 0.518
8 Li 0.897 0.815 0.500
9 Ag 0.076 0.690 0.003
10 Ag 0.103 0.437 0.998
11 Ag 0.397 0.937 0.498
12 Ag 0.424 0.190 0.503
13 Ag 0.576 0.810 0.003
14 Ag 0.603 0.063 0.998
15 Ag 0.897 0.563 0.498
16 Ag 0.924 0.310 0.503
17 H 0.062 0.945 0.398
18 H 0.244 0.301 0.276
19 H 0.256 0.801 0.776
20 H 0.438 0.445 0.898
21 H 0.562 0.555 0.398
22 H 0.744 0.199 0.276
23 H 0.756 0.699 0.776
24 H 0.938 0.055 0.898



No. 8
The following is a theoretical powder diffractogram of LiPr12Tl3. It was derived from a DFT-relaxed cell (PBE, Alexandria), using Cu Kα.
Lines closer than 0.1° are merged.

Most intense lines, 10 to 90 degrees two-theta, by angle:
- 2θ 30.7, intensity 100.0
- 2θ 35.6, intensity 16.9
- 2θ 35.7, intensity 33.7
- 2θ 51.3, intensity 36.0
- 2θ 60.9, intensity 14.3
- 2θ 61.0, intensity 28.5
- 2θ 64.0, intensity 12.3
- 2θ 83.6, intensity 11.9

Unit cell a=5.035 b=5.035 c=20.199 alpha=90.00 beta=90.00 gamma=90.00
Positions (direct):
1 Li 0.000 0.000 0.000
2 Pr 0.000 0.500 0.127
3 Pr 0.000 0.500 0.375
4 Pr 0.000 0.500 0.625
5 Pr 0.000 0.500 0.873
6 Pr 0.500 0.000 0.127
7 Pr 0.500 0.000 0.375
8 Pr 0.500 0.000 0.625
9 Pr 0.500 0.000 0.873
10 Pr 0.500 0.500 0.000
11 Pr 0.500 0.500 0.249
12 Pr 0.500 0.500 0.500
13 Pr 0.500 0.500 0.751
14 Tl 0.000 0.000 0.251
15 Tl 0.000 0.000 0.500
16 Tl 0.000 0.000 0.749



No. 9
The following is a theoretical powder diffractogram of Tl5GaI7. It was derived from a DFT-relaxed cell (PBE, Alexandria), using Cu Kα.
Lines closer than 0.1° are merged.

Most intense lines, 10 to 90 degrees two-theta, by angle:
- 2θ 21.2, intensity 34.9
- 2θ 23.9, intensity 51.4
- 2θ 25.2, intensity 30.5
- 2θ 25.8, intensity 64.3
- 2θ 26.7, intensity 100.0
- 2θ 34.1, intensity 28.0
- 2θ 36.7, intensity 70.6
- 2θ 38.6, intensity 34.4

Unit cell a=8.581 b=8.581 c=29.202 alpha=90.00 beta=90.00 gamma=148.49
Positions (direct):
1 Tl 0.000 0.000 0.000
2 Tl 0.000 0.000 0.500
3 Tl 0.278 0.722 0.925
4 Tl 0.279 0.721 0.576
5 Tl 0.456 0.544 0.157
6 Tl 0.456 0.544 0.344
7 Tl 0.544 0.456 0.657
8 Tl 0.544 0.456 0.844
9 Tl 0.721 0.279 0.076
10 Tl 0.722 0.278 0.425
11 Ga 0.220 0.780 0.250
12 Ga 0.780 0.220 0.750
13 I 0.082 0.918 0.110
14 I 0.083 0.917 0.389
15 I 0.195 0.805 0.682
16 I 0.195 0.805 0.818
17 I 0.362 0.638 0.040
18 I 0.363 0.637 0.460
19 I 0.413 0.587 0.750
20 I 0.587 0.413 0.250
21 I 0.637 0.363 0.960
22 I 0.638 0.362 0.540
23 I 0.805 0.195 0.182
24 I 0.805 0.195 0.318
25 I 0.917 0.083 0.889
26 I 0.918 0.082 0.610



No. 10
The following is a theoretical powder diffractogram of RbBaIO6. It was derived from a DFT-relaxed cell (PBE, Alexandria), using Cu Kα.
Lines closer than 0.1° are merged.

Most intense lines, 10 to 90 degrees two-theta, by angle:
- 2θ 25.1, intensity 100.0
- 2θ 30.1, intensity 58.4
- 2θ 39.6, intensity 51.1
- 2θ 40.8, intensity 26.8
- 2θ 50.6, intensity 26.3
- 2θ 51.5, intensity 17.1
- 2θ 60.8, intensity 13.3
- 2θ 62.7, intensity 12.4

Unit cell a=5.930 b=5.930 c=4.905 alpha=90.10 beta=90.10 gamma=60.05
Positions (direct):
1 Rb 0.000 0.000 0.000
2 Ba 0.333 0.333 0.598
3 I 0.667 0.667 0.292
4 O 0.369 0.816 0.523
5 O 0.510 0.510 0.093
6 O 0.511 0.979 0.093
7 O 0.816 0.369 0.523
8 O 0.816 0.816 0.523
9 O 0.979 0.511 0.093



No. 11
The following is a theoretical powder diffractogram of NaTl3Hg8. It was derived from a DFT-relaxed cell (PBE, Alexandria), using Cu Kα.
Lines closer than 0.1° are merged.

Most intense lines, 10 to 90 degrees two-theta, by angle:
- 2θ 32.2, intensity 27.8
- 2θ 33.1, intensity 26.3
- 2θ 33.6, intensity 100.0
- 2θ 46.9, intensity 20.0
- 2θ 58.4, intensity 20.4
- 2θ 59.5, intensity 19.9
- 2θ 60.4, intensity 9.1
- 2θ 70.7, intensity 11.6

Unit cell a=8.277 b=8.277 c=5.408 alpha=109.05 beta=109.05 gamma=84.29
Positions (direct):
1 Na 0.000 0.000 0.000
2 Tl 0.251 0.772 0.509
3 Tl 0.344 0.344 0.345
4 Tl 0.772 0.251 0.509
5 Hg 0.093 0.594 0.840
6 Hg 0.181 0.181 0.681
7 Hg 0.421 0.930 0.172
8 Hg 0.515 0.515 0.015
9 Hg 0.594 0.093 0.840
10 Hg 0.683 0.683 0.683
11 Hg 0.830 0.830 0.331
12 Hg 0.930 0.421 0.172



No. 12
The following is a theoretical powder diffractogram of Tb4Ga3Hg. It was derived from a DFT-relaxed cell (PBE, Alexandria), using Cu Kα.
Lines closer than 0.1° are merged.

Most intense lines, 10 to 90 degrees two-theta, by angle:
- 2θ 30.8, intensity 100.0
- 2θ 31.9, intensity 33.1
- 2θ 32.2, intensity 29.3
- 2θ 38.6, intensity 58.7
- 2θ 38.8, intensity 21.4
- 2θ 42.2, intensity 24.0
- 2θ 42.8, intensity 23.2
- 2θ 54.1, intensity 20.9

Unit cell a=4.226 b=4.279 c=11.122 alpha=90.00 beta=90.00 gamma=90.00
Positions (direct):
1 Tb 0.000 0.000 0.000
2 Tb 0.000 0.500 0.489
3 Tb 0.500 0.000 0.710
4 Tb 0.500 0.500 0.216
5 Ga 0.000 0.000 0.281
6 Ga 0.500 0.000 0.428
7 Ga 0.500 0.500 0.943
8 Hg 0.000 0.500 0.773



What is the formula in the twelfth record? Tb4Ga3Hg